Entry 1:
Diffraction record for ScZn6Pd2. The powder X-ray diffraction pattern is theoretical, not measured: it uses a DFT-relaxed cell (PBE, Alexandria) and Cu Kα X-rays.
Kinematic intensities with the Lorentz-polarization factor, no thermal factor.

Cell and atoms:
a b c (Å): 3.051 7.318 12.856
angles (deg): 90.00 90.00 90.00
Space group Immm (No. 71)
Inequivalent atoms, fractional coordinates:
Sc: 0.000 0.000 0.000
Zn: 0.000 0.169 0.500
Zn: 0.000 0.320 0.325
Pd: 0.000 0.500 0.145

Most intense lines, 10 to 90 degrees two-theta, most intense first:
- d = 2.119 Å, intensity 100
- d = 2.305 Å, intensity 43
- d = 2.579 Å, intensity 31
- d = 2.143 Å, intensity 29
- d = 6.360 Å, intensity 25
- d = 1.238 Å, intensity 21
- d = 2.056 Å, intensity 18
- d = 2.816 Å, intensity 17
- d = 1.966 Å, intensity 13
- d = 1.220 Å, intensity 12

***

Entry 2:
Diffraction record for K2YAgCl6. The powder X-ray diffraction pattern is theoretical, not measured: it uses a DFT-relaxed cell (PBE, Alexandria) and Cu Kα X-rays.
Kinematic intensities with the Lorentz-polarization factor, no thermal factor.

Cell and atoms:
a b c (Å): 10.707 10.707 10.707
angles (deg): 90.00 90.00 90.00
Space group Fm-3m (No. 225)
Inequivalent atoms, fractional coordinates:
K: 0.250 0.250 0.250
Y: 0.000 0.000 0.000
Ag: 0.000 0.000 0.500
Cl: 0.000 0.000 0.246

Most intense lines, 10 to 90 degrees two-theta, most intense first:
- d = 2.677 Å, intensity 100
- d = 3.786 Å, intensity 91
- d = 5.354 Å, intensity 89
- d = 1.893 Å, intensity 65
- d = 2.394 Å, intensity 43
- d = 2.186 Å, intensity 40
- d = 1.197 Å, intensity 26
- d = 1.785 Å, intensity 21
- d = 1.545 Å, intensity 21
- d = 1.093 Å, intensity 21